[1]
The following is a simulated XRD peak list of Ca2Sc2Rh. It was derived from a structure optimized by DFT (GGA-PBE), using Cu Kα (weighted mean of Kα1 and Kα2).
Intensities are scaled so that the largest is 100.

Lattice parameters (Å, degrees): 6.8301 6.8301 5.7847 90.00 90.00 90.00
Fractional coordinates of all 10 atoms:
Ca 0.1816 0.3184 0.0000
Ca 0.3184 0.8184 0.0000
Ca 0.6816 0.1816 0.0000
Ca 0.8184 0.6816 0.0000
Sc 0.1625 0.6625 0.5000
Sc 0.3375 0.1625 0.5000
Sc 0.6625 0.8375 0.5000
Sc 0.8375 0.3375 0.5000
Rh 0.0000 0.0000 0.5000
Rh 0.5000 0.5000 0.5000

Peak list (8 most intense, 5 to 70 degrees two-theta, low angle first)
| 2θ/deg | d (Å) | intensity | hkl |
| --- | --- | --- | --- |
| 15.3 | 5.785 | 65 | 0 0 1 |
| 24.0 | 3.707 | 66 | 1 1 1 |
| 30.4 | 2.941 | 57 | 2 0 1 |
| 30.9 | 2.892 | 75 | 0 0 2 |
| 33.2 | 2.701 | 100 | 2 1 1 |
| 41.8 | 2.160 | 55 | 3 1 0 |
| 44.8 | 2.023 | 37 | 3 1 1 |
| 52.9 | 1.731 | 54 | 3 1 2 |



[2]
The following is a simulated XRD peak list of CaSi2Rh4. It was derived from a structure optimized by DFT (GGA-PBE), using Cu Kα (weighted mean of Kα1 and Kα2).
Intensities are scaled so that the largest is 100.

Lattice parameters (Å, degrees): 7.6574 7.6574 3.7738 90.00 90.00 90.00
Fractional coordinates of all 14 atoms:
Ca 0.0000 0.0000 0.0000
Ca 0.5000 0.5000 0.5000
Si 0.2291 0.2291 0.5000
Si 0.2709 0.7291 0.0000
Si 0.7291 0.2709 0.0000
Si 0.7709 0.7709 0.5000
Rh 0.0738 0.6678 0.5000
Rh 0.1678 0.4262 0.0000
Rh 0.3322 0.9262 0.5000
Rh 0.4262 0.1678 0.0000
Rh 0.5738 0.8322 0.0000
Rh 0.6678 0.0738 0.5000
Rh 0.8322 0.5738 0.0000
Rh 0.9262 0.3322 0.5000

Peak list (8 most intense, 5 to 70 degrees two-theta, low angle first)
| 2θ/deg | d (Å) | intensity | hkl |
| --- | --- | --- | --- |
| 16.4 | 5.415 | 80 | 1 1 0 |
| 35.4 | 2.536 | 100 | 2 1 1 |
| 37.1 | 2.421 | 44 | 3 1 0 |
| 41.0 | 2.200 | 65 | 2 2 1 |
| 42.8 | 2.114 | 23 | 3 0 1 |
| 44.5 | 2.038 | 63 | 3 1 1 |
| 48.2 | 1.887 | 32 | 0 0 2 |
| 49.1 | 1.857 | 37 | 4 1 0 |